1.
AcGaBiO5: calculated X-ray powder pattern (Cu Kα, 1.54184 Å), based on a DFT-relaxed cell (GGA-PBE, Alexandria).
Neutral-atom scattering factors, no anomalous dispersion.

Most intense lines, 2θ = 10–80°, low angle first:
2θ/deg  Rel. int.
24.9  97
26.9  78
30.3  100
30.6  55
33.7  32
49.7  32

Atomic structure:
Cell lengths 6.103, 6.103, 7.811 Å; angles 102.86, 102.86, 108.21 degrees
Sites, in units of the cell vectors:
Ac 0.158 0.842 0.750
Ac 0.842 0.158 0.250
Ga 0.183 0.817 0.250
Ga 0.817 0.183 0.750
Bi 0.500 0.500 0.000
Bi 0.500 0.500 0.500
O 0.109 0.227 0.926
O 0.170 0.594 0.382
O 0.227 0.109 0.426
O 0.406 0.830 0.118
O 0.412 0.588 0.750
O 0.588 0.412 0.250
O 0.594 0.170 0.882
O 0.773 0.891 0.574
O 0.830 0.406 0.618
O 0.891 0.773 0.074

***

2.
Ac4GeBi2: calculated X-ray powder pattern (Cu Kα, 1.54184 Å), based on a DFT-relaxed cell (GGA-PBE, Alexandria).
Neutral-atom scattering factors, no anomalous dispersion.

Most intense lines, 2θ = 10–80°, low angle first:
2θ/deg  Rel. int.
23.8  63
29.6  100
30.6  94
43.1  23
43.8  61
53.8  33

Atomic structure:
Cell lengths 9.719, 9.719, 9.719 Å; angles 144.99, 144.99, 50.35 degrees
Sites, in units of the cell vectors:
Ac 0.000 0.500 0.500
Ac 0.175 0.175 0.000
Ac 0.500 0.000 0.500
Ac 0.825 0.825 0.000
Ge 0.000 0.000 0.000
Bi 0.368 0.368 0.000
Bi 0.632 0.632 0.000